(1)
Computed X-ray diffraction stick pattern of LiPmAlAg6 for Cu Kα, 1.54184 Å, from a structure optimized by DFT (PBE).

```
data_LiPmAlAg6
_symmetry_space_group_name_H-M 'I m m a'
_symmetry_Int_Tables_number 74
_symmetry_space_group_name_Hall '-I 2b 2'
_cell_length_a 7.317
_cell_length_b 9.189
_cell_length_c 11.003
_cell_angle_alpha 90.00
_cell_angle_beta 90.00
_cell_angle_gamma 90.00
loop_
_atom_site_label
_atom_site_fract_x
_atom_site_fract_y
_atom_site_fract_z
Li1 0.250 0.250 0.250
Pm1 0.000 0.250 0.707
Al1 0.000 0.000 0.500
Ag1 0.000 0.250 0.010
Ag2 0.000 0.250 0.410
Ag3 0.193 0.004 0.872
```

Main lines, by angle (2θ from 15° to 90°):
| Position (°2θ) | I_rel |
| --- | --- |
| 26.16 | 17 |
| 31.25 | 100 |
| 33.58 | 50 |
| 36.02 | 18 |
| 38.13 | 36 |
| 39.22 | 44 |
| 41.05 | 22 |
| 44.61 | 20 |


(2)
Computed X-ray diffraction stick pattern of Dy4SbTe2 for Cu Kα, 1.54184 Å, from a structure optimized by DFT (PBE).

```
data_Dy4SbTe2
_symmetry_space_group_name_H-M 'F d d d'
_symmetry_Int_Tables_number 70
_cell_length_a 9.298
_cell_length_b 13.472
_cell_length_c 13.488
_cell_angle_alpha 90.00
_cell_angle_beta 90.00
_cell_angle_gamma 90.00
loop_
_symmetry_equiv_pos_as_xyz
'x,y,z'
'-x,-y,-z'
'-x+1/4,-y+1/4,z'
'x+1/4,y+1/4,-z'
'x,-y+1/4,-z+1/4'
'-x,y+1/4,z+1/4'
'-x+1/4,y,-z+1/4'
'x+1/4,-y,z+1/4'
'x,y+1/2,z+1/2'
'-x,-y+1/2,-z+1/2'
'-x+1/4,-y+3/4,z+1/2'
'x+1/4,y+3/4,-z+1/2'
'x,-y+3/4,-z+3/4'
'-x,y+3/4,z+3/4'
'-x+1/4,y+1/2,-z+3/4'
'x+1/4,-y+1/2,z+3/4'
'x+1/2,y,z+1/2'
'-x+1/2,-y,-z+1/2'
'-x+3/4,-y+1/4,z+1/2'
'x+3/4,y+1/4,-z+1/2'
'x+1/2,-y+1/4,-z+3/4'
'-x+1/2,y+1/4,z+3/4'
'-x+3/4,y,-z+3/4'
'x+3/4,-y,z+3/4'
'x+1/2,y+1/2,z'
'-x+1/2,-y+1/2,-z'
'-x+3/4,-y+3/4,z'
'x+3/4,y+3/4,-z'
'x+1/2,-y+3/4,-z+1/4'
'-x+1/2,y+3/4,z+1/4'
'-x+3/4,y+1/2,-z+1/4'
'x+3/4,-y+1/2,z+1/4'
loop_
_atom_site_label
_atom_site_fract_x
_atom_site_fract_y
_atom_site_fract_z
Dy1 0.069 0.280 0.470
Sb1 0.125 0.125 0.625
Te1 0.000 0.000 0.000
```

Main lines, by angle (2θ from 15° to 90°):
| Position (°2θ) | I_rel |
| --- | --- |
| 26.45 | 83 |
| 29.72 | 45 |
| 30.33 | 100 |
| 35.30 | 61 |
| 35.49 | 28 |
| 37.75 | 47 |
| 40.67 | 29 |
| 44.81 | 36 |


Copy entry 1 word for word.
Computed X-ray diffraction stick pattern of LiPmAlAg6 for Cu Kα, 1.54184 Å, from a structure optimized by DFT (PBE).

```
data_LiPmAlAg6
_symmetry_space_group_name_H-M 'I m m a'
_symmetry_Int_Tables_number 74
_symmetry_space_group_name_Hall '-I 2b 2'
_cell_length_a 7.317
_cell_length_b 9.189
_cell_length_c 11.003
_cell_angle_alpha 90.00
_cell_angle_beta 90.00
_cell_angle_gamma 90.00
loop_
_atom_site_label
_atom_site_fract_x
_atom_site_fract_y
_atom_site_fract_z
Li1 0.250 0.250 0.250
Pm1 0.000 0.250 0.707
Al1 0.000 0.000 0.500
Ag1 0.000 0.250 0.010
Ag2 0.000 0.250 0.410
Ag3 0.193 0.004 0.872
```

Main lines, by angle (2θ from 15° to 90°):
| Position (°2θ) | I_rel |
| --- | --- |
| 26.16 | 17 |
| 31.25 | 100 |
| 33.58 | 50 |
| 36.02 | 18 |
| 38.13 | 36 |
| 39.22 | 44 |
| 41.05 | 22 |
| 44.61 | 20 |